For Rb2LiSe, the PBE geometry in Alexandria gives the simulated X-ray diffraction stick pattern in this record (λ = 1.5418 Å (Cu Kα)).
Lines closer than 0.1° are merged.

Crystal structure
Cell lengths 18.5821, 4.7928, 10.0156 Å; angles 90.00, 105.73, 90.00 degrees
Sites, in units of the cell vectors:
Rb 0.1332 0.0003 0.0671
Rb 0.1332 0.9997 0.5671
Rb 0.3668 0.5003 0.4329
Rb 0.3668 0.4997 0.9329
Rb 0.6332 0.5003 0.0671
Rb 0.6332 0.4997 0.5671
Rb 0.8668 0.0003 0.4329
Rb 0.8668 0.9997 0.9329
Li 0.0000 0.4915 0.2500
Li 0.0000 0.5085 0.7500
Li 0.5000 0.0085 0.7500
Li 0.5000 0.9915 0.2500
Se 0.0000 0.0086 0.7500
Se 0.0000 0.9914 0.2500
Se 0.5000 0.4914 0.2500
Se 0.5000 0.5086 0.7500

The 10 most intense peaks (5 to 70 degrees two-theta), low angle first:
two_theta	I (rel.)	index
9.9	28	2 0 0
19.2	100	1 1 0
23.2	89	2 0 2
27.6	19	1 1 2
30.7	25	6 0 -2
32.7	86	5 1 -2
35.9	19	2 0 -4
40.0	22	7 1 0
41.0	28	3 1 -4
44.6	30	2 2 2